Starting from the PBE geometry in Alexandria, the X-ray diffraction stick pattern of RePtAu2 was calculated for CuKα.

Most intense lines, 2θ from 10° to 80°, sorted by position:
2θ/deg, intensity
38.39, 52
38.53, 52
38.96, 100
43.75, 36
45.62, 64
64.96, 22
65.15, 23
77.16, 14
79.11, 13
79.29, 13

```
RePtAu2
1.0
9.481 0.000 0.000
0.000 2.787 0.000
-0.734 0.000 4.955
Re Pt Au
2 2 4
direct
0.000 0.000 0.000
0.500 0.500 0.000
0.000 0.500 0.500
0.500 0.000 0.500
0.245 0.500 0.245
0.255 0.000 0.755
0.745 0.000 0.245
0.755 0.500 0.755
```